# Mg2InSnHg4
Simulated XRD peak list, Cu Ka. Input: a crystal structure in Alexandria, relaxed with GGA-PBE.
Neutral-atom scattering factors, no anomalous dispersion.

Crystal structure
```
data_Mg2InSnHg4
_chemical_formula_sum 'Mg8 In4 Sn4 Hg16'
_cell_length_a 6.6790
_cell_length_b 10.1434
_cell_length_c 12.0255
_cell_angle_alpha 90.00
_cell_angle_beta 90.00
_cell_angle_gamma 90.00
_space_group_name_H-M_alt 'F 2 2 2'
_space_group_IT_number 22
_space_group_name_Hall 'F 2 2'
loop_
_atom_site_label
_atom_site_fract_x
_atom_site_fract_y
_atom_site_fract_z
Mg1 0.0000 0.0000 0.0000
Mg2 0.2500 0.2500 0.2500
In1 0.0000 0.0000 0.5000
Sn1 0.2500 0.2500 0.7500
Hg1 0.0000 0.0000 0.2438
Hg2 0.2500 0.2500 0.0059
```

Largest 10 diffraction maxima, in order of rising 2θ, 10 to 80 degrees two-theta:
2θ/deg, I_rel
22.9, 486
29.7, 599
30.6, 267
32.1, 1000
35.4, 386
44.3, 818
46.9, 348
69.8, 230
71.3, 192
75.1, 176